The following is a computed XRD peak list of AcSn6. It was derived from a PBE-relaxed structure, using Cu Kα X-rays.
Kinematic intensities with the Lorentz-polarization factor, no thermal factor.

Top 10 peaks for 2θ = 10–90°, in order of rising 2θ:
4.043 Å, 21.99 deg, rel. 41
3.301 Å, 27.01 deg, rel. 100
2.161 Å, 41.80 deg, rel. 64
2.021 Å, 44.84 deg, rel. 28
1.808 Å, 50.48 deg, rel. 19
1.724 Å, 53.13 deg, rel. 16
1.476 Å, 62.97 deg, rel. 20
1.429 Å, 65.28 deg, rel. 19
1.312 Å, 72.00 deg, rel. 20
1.100 Å, 88.96 deg, rel. 17

a = 8.085 Å, b = 8.085 Å, c = 8.085 Å
α = 90.00°, β = 90.00°, γ = 90.00°
Space group Im-3m (No. 229)
Asymmetric unit:
Ac 0.000 0.000 0.000
Sn 0.000 0.250 0.500